Diffraction record for LiFe2O2F3. The powder diffraction line list is computed, not measured: it uses a DFT-relaxed cell (PBE+U, the Materials Project) and Cu Kα.

Crystal structure
a b c (Å): 5.6272 5.6272 7.0410
angles (deg): 109.90 109.90 54.79
Positions (direct):
1 Li 0.0000 0.0000 0.0000
2 Li 0.0000 0.0000 0.5000
3 Fe 0.3766 0.3961 0.8002
4 Fe 0.3961 0.3766 0.3002
5 Fe 0.6039 0.6234 0.6998
6 Fe 0.6234 0.6039 0.1998
7 O 0.2797 0.5591 0.5632
8 O 0.4409 0.7203 0.9368
9 O 0.5591 0.2797 0.0632
10 O 0.7203 0.4409 0.4368
11 F 0.0462 0.3507 0.1587
12 F 0.2049 0.7951 0.2500
13 F 0.3507 0.0462 0.6587
14 F 0.6493 0.9538 0.3413
15 F 0.7951 0.2049 0.7500
16 F 0.9538 0.6493 0.8413

Largest 6 diffraction maxima, in order of rising 2θ, 10 to 90 degrees two-theta:
- 2θ = 19.66°, I = 100.0
- 2θ = 27.43°, I = 28.1
- 2θ = 36.02°, I = 25.1
- 2θ = 52.52°, I = 17.2
- 2θ = 52.64°, I = 18.4
- 2θ = 55.76°, I = 17.0